[1]
Diffraction record for PuU2As4. The X-ray diffraction stick pattern is simulated, not measured: it uses a PBE-relaxed structure and Cu Kα (λ = 1.5418 Å).
Neutral-atom scattering factors, no anomalous dispersion.

Atomic structure:
```
data_PuU2As4
_chemical_formula_sum 'Pu4 U8 As16'
_cell_length_a 8.501
_cell_length_b 8.501
_cell_length_c 8.518
_cell_angle_alpha 90.00
_cell_angle_beta 90.00
_cell_angle_gamma 90.00
_space_group_name_H-M_alt 'I -4 2 d'
_space_group_IT_number 122
_space_group_name_Hall 'I -4 2bw'
loop_
_atom_site_label
_atom_site_fract_x
_atom_site_fract_y
_atom_site_fract_z
Pu1 0.000 0.000 0.000
U1 0.128 0.250 0.625
As1 0.079 0.169 0.299
```

Main lines, sorted by position (2θ from 10° to 90°):
25.65 deg, I 69
33.31 deg, I 100
39.64 deg, I 68
47.82 deg, I 36
50.31 deg, I 24
55.02 deg, I 14
67.86 deg, I 13
67.96 deg, I 24
71.93 deg, I 17
83.56 deg, I 15

---

[2]
Diffraction record for Na2ZnPO5. The X-ray diffraction stick pattern is simulated, not measured: it uses a PBE-relaxed structure and Cu Kα (λ = 1.5418 Å).
Neutral-atom scattering factors, no anomalous dispersion.

Atomic structure:
```
data_Na2ZnPO5
_chemical_formula_sum 'Na8 Zn4 P4 O20'
_cell_length_a 8.716
_cell_length_b 9.989
_cell_length_c 5.857
_cell_angle_alpha 90.00
_cell_angle_beta 105.86
_cell_angle_gamma 90.00
_space_group_name_H-M_alt 'P 1 21/c 1'
_space_group_IT_number 14
_space_group_name_Hall '-P 2ybc'
loop_
_atom_site_label
_atom_site_fract_x
_atom_site_fract_y
_atom_site_fract_z
Na1 0.131 0.164 0.360
Na2 0.192 0.648 0.802
Zn1 0.494 0.139 0.228
P1 0.203 0.010 0.856
O1 0.081 0.114 0.722
O2 0.129 0.628 0.375
O3 0.280 0.062 0.118
O4 0.334 0.504 0.217
O5 0.465 0.712 0.954
```

Main lines, sorted by position (2θ from 10° to 90°):
10.55 deg, I 64
23.81 deg, I 60
24.25 deg, I 78
27.82 deg, I 100
28.98 deg, I 88
31.77 deg, I 49
32.03 deg, I 65
33.10 deg, I 47
34.45 deg, I 30
50.23 deg, I 25

---

[3]
Diffraction record for Tm4Ni. The X-ray diffraction stick pattern is simulated, not measured: it uses a PBE-relaxed structure and Cu Kα (λ = 1.5418 Å).
Neutral-atom scattering factors, no anomalous dispersion.

Atomic structure:
```
data_Tm4Ni
_chemical_formula_sum 'Tm16 Ni4'
_cell_length_a 8.344
_cell_length_b 8.344
_cell_length_c 7.733
_cell_angle_alpha 90.00
_cell_angle_beta 90.00
_cell_angle_gamma 90.00
_space_group_name_H-M_alt 'I -4 2 d'
_space_group_IT_number 122
_space_group_name_Hall 'I -4 2bw'
loop_
_atom_site_label
_atom_site_fract_x
_atom_site_fract_y
_atom_site_fract_z
Tm1 0.033 0.202 0.338
Ni1 0.000 0.000 0.000
```

Main lines, sorted by position (2θ from 10° to 90°):
26.52 deg, I 18
30.30 deg, I 40
31.55 deg, I 100
33.97 deg, I 16
34.26 deg, I 39
36.48 deg, I 28
40.69 deg, I 22
53.19 deg, I 17
56.40 deg, I 19
60.97 deg, I 15

---

[4]
Diffraction record for GaAsO4. The X-ray diffraction stick pattern is simulated, not measured: it uses a PBE-relaxed structure and Cu Kα (λ = 1.5418 Å).
Neutral-atom scattering factors, no anomalous dispersion.

Atomic structure:
```
data_GaAsO4
_chemical_formula_sum 'Ga4 As4 O16'
_cell_length_a 7.208
_cell_length_b 7.232
_cell_length_c 7.331
_cell_angle_alpha 90.00
_cell_angle_beta 90.00
_cell_angle_gamma 90.00
_space_group_name_H-M_alt 'C 2 2 21'
_space_group_IT_number 20
_space_group_name_Hall 'C 2c 2'
loop_
_atom_site_label
_atom_site_fract_x
_atom_site_fract_y
_atom_site_fract_z
Ga1 0.181 0.000 0.000
As1 0.000 0.322 0.250
O1 0.026 0.198 0.052
O2 0.190 0.461 0.285
```

Main lines, sorted by position (2θ from 10° to 90°):
21.21 deg, I 100
27.54 deg, I 18
30.01 deg, I 23
34.88 deg, I 13
35.16 deg, I 22
37.30 deg, I 7
40.94 deg, I 7
41.47 deg, I 7
44.78 deg, I 7
59.93 deg, I 14

---

[5]
Diffraction record for Ba3In2Se6. The X-ray diffraction stick pattern is simulated, not measured: it uses a PBE-relaxed structure and Cu Kα (λ = 1.5418 Å).
Neutral-atom scattering factors, no anomalous dispersion.

Atomic structure:
```
data_Ba3In2Se6
_chemical_formula_sum 'Ba6 In4 Se12'
_cell_length_a 5.218
_cell_length_b 5.218
_cell_length_c 26.858
_cell_angle_alpha 90.00
_cell_angle_beta 90.00
_cell_angle_gamma 90.00
_space_group_name_H-M_alt 'I 4/m m m'
_space_group_IT_number 139
_space_group_name_Hall '-I 4 2'
loop_
_atom_site_label
_atom_site_fract_x
_atom_site_fract_y
_atom_site_fract_z
Ba1 0.000 0.000 0.000
Ba2 0.000 0.000 0.173
In1 0.000 0.000 0.390
Se1 0.000 0.000 0.295
Se2 0.000 0.500 0.081
```

Main lines, sorted by position (2θ from 10° to 90°):
13.19 deg, I 27
23.77 deg, I 57
24.12 deg, I 45
25.03 deg, I 29
28.88 deg, I 25
31.42 deg, I 75
34.38 deg, I 100
34.63 deg, I 31
49.41 deg, I 35
59.75 deg, I 35

---

[6]
Diffraction record for Ti2VSe5. The X-ray diffraction stick pattern is simulated, not measured: it uses a PBE-relaxed structure and Cu Kα (λ = 1.5418 Å).
Neutral-atom scattering factors, no anomalous dispersion.

Atomic structure:
```
data_Ti2VSe5
_chemical_formula_sum 'Ti8 V4 Se20'
_cell_length_a 5.042
_cell_length_b 12.312
_cell_length_c 11.948
_cell_angle_alpha 90.00
_cell_angle_beta 90.00
_cell_angle_gamma 90.00
_space_group_name_H-M_alt 'C m c m'
_space_group_IT_number 63
_space_group_name_Hall '-C 2c 2'
loop_
_atom_site_label
_atom_site_fract_x
_atom_site_fract_y
_atom_site_fract_z
Ti1 0.000 0.167 0.041
V1 0.000 0.192 0.750
Se1 0.000 0.042 0.617
Se2 0.000 0.248 0.250
Se3 0.000 0.334 0.582
```

Main lines, sorted by position (2θ from 10° to 90°):
14.39 deg, I 36
19.02 deg, I 64
26.66 deg, I 37
29.03 deg, I 40
29.49 deg, I 44
33.34 deg, I 44
35.62 deg, I 100
36.91 deg, I 71
41.46 deg, I 67
52.23 deg, I 50

---

[7]
Diffraction record for Pm2CuPt. The X-ray diffraction stick pattern is simulated, not measured: it uses a PBE-relaxed structure and Cu Kα (λ = 1.5418 Å).
Neutral-atom scattering factors, no anomalous dispersion.

Atomic structure:
```
data_Pm2CuPt
_chemical_formula_sum 'Pm4 Cu2 Pt2'
_cell_length_a 4.535
_cell_length_b 3.903
_cell_length_c 10.738
_cell_angle_alpha 90.00
_cell_angle_beta 90.00
_cell_angle_gamma 90.00
_space_group_name_H-M_alt 'A m m 2'
_space_group_IT_number 38
_space_group_name_Hall 'A 2 -2'
loop_
_atom_site_label
_atom_site_fract_x
_atom_site_fract_y
_atom_site_fract_z
Pm1 0.000 0.000 0.000
Pm2 0.500 0.000 0.276
Cu1 0.500 0.000 0.562
Pt1 0.000 0.000 0.715
```

Main lines, sorted by position (2θ from 10° to 90°):
16.51 deg, I 18
31.36 deg, I 100
33.38 deg, I 24
33.98 deg, I 30
38.99 deg, I 25
39.52 deg, I 69
39.75 deg, I 31
46.53 deg, I 20
53.27 deg, I 17
62.82 deg, I 16

---

[8]
Diffraction record for CePu5Os3. The X-ray diffraction stick pattern is simulated, not measured: it uses a PBE-relaxed structure and Cu Kα (λ = 1.5418 Å).
Neutral-atom scattering factors, no anomalous dispersion.

Atomic structure:
```
data_CePu5Os3
_chemical_formula_sum 'Ce4 Pu20 Os12'
_cell_length_a 11.738
_cell_length_b 8.074
_cell_length_c 9.575
_cell_angle_alpha 90.00
_cell_angle_beta 98.51
_cell_angle_gamma 90.00
_space_group_name_H-M_alt 'C 1 2/m 1'
_space_group_IT_number 12
_space_group_name_Hall '-C 2y'
loop_
_atom_site_label
_atom_site_fract_x
_atom_site_fract_y
_atom_site_fract_z
Ce1 0.153 0.000 0.313
Pu1 0.000 0.320 0.000
Pu2 0.130 0.185 0.716
Pu3 0.131 0.500 0.461
Pu4 0.234 0.000 0.044
Os1 0.000 0.000 0.000
Os2 0.000 0.000 0.500
Os3 0.072 0.500 0.747
Os4 0.165 0.500 0.193
```

Main lines, sorted by position (2θ from 10° to 90°):
22.02 deg, I 64
29.29 deg, I 100
33.61 deg, I 61
35.21 deg, I 49
35.72 deg, I 81
38.01 deg, I 45
38.71 deg, I 63
39.86 deg, I 44
40.84 deg, I 42
52.02 deg, I 44

---

[9]
Diffraction record for Tm4Ru2Pb. The X-ray diffraction stick pattern is simulated, not measured: it uses a PBE-relaxed structure and Cu Kα (λ = 1.5418 Å).
Neutral-atom scattering factors, no anomalous dispersion.

Atomic structure:
```
data_Tm4Ru2Pb
_chemical_formula_sum 'Tm8 Ru4 Pb2'
_cell_length_a 6.011
_cell_length_b 7.819
_cell_length_c 8.314
_cell_angle_alpha 115.97
_cell_angle_beta 100.98
_cell_angle_gamma 98.11
_space_group_name_H-M_alt 'P 1'
_space_group_IT_number 1
_space_group_name_Hall 'P 1'
loop_
_atom_site_label
_atom_site_fract_x
_atom_site_fract_y
_atom_site_fract_z
Tm1 0.000 0.000 0.000
Tm2 0.079 0.918 0.393
Tm3 0.190 0.478 0.278
Tm4 0.287 0.406 0.666
Tm5 0.497 0.844 0.129
Tm6 0.591 0.323 0.085
Tm7 0.702 0.136 0.612
Tm8 0.798 0.553 0.556
Ru1 0.161 0.197 0.829
Ru2 0.398 0.200 0.334
Ru3 0.611 0.739 0.394
Ru4 0.882 0.202 0.329
Pb1 0.380 0.853 0.719
Pb2 0.947 0.559 0.954
```

Main lines, sorted by position (2θ from 10° to 90°):
30.27 deg, I 50
30.73 deg, I 44
32.10 deg, I 23
33.04 deg, I 100
33.55 deg, I 24
33.93 deg, I 63
35.32 deg, I 19
35.84 deg, I 20
36.46 deg, I 33
37.51 deg, I 19